Simulated powder X-ray diffraction pattern
Compound: NaHoGaHg
Radiation: Cu Kα (λ = 1.5418 Å)
Structure: a structure optimized by DFT (PBE)
Kinematic intensities with the Lorentz-polarization factor, no thermal factor.

Peak list (8 most intense, 10° ≤ 2θ ≤ 80°, low angle first)
(hkl)  2θ (°)  I/Imax
1 1 1  21.42  38.0
2 2 0  35.34  100.0
3 1 1  41.70  21.2
4 0 0  50.84  17.8
3 3 1  55.78  9.3
4 2 2  63.43  36.5
4 4 0  74.75  11.3
5 3 1  78.82  7.1

Cell and atoms:
Unit cell a=7.184 b=7.184 c=7.184 alpha=90.00 beta=90.00 gamma=90.00
Space group F-43m (No. 216)
Inequivalent atoms, fractional coordinates:
Na: 0.000 0.000 0.000 [4 per cell]
Ho: 0.000 0.000 0.500 [4 per cell]
Ga: 0.250 0.250 0.750 [4 per cell]
Hg: 0.250 0.250 0.250 [4 per cell]